Starting from a structure optimized by DFT (PBE), the powder diffractogram of RbMnCu2Ag was calculated for Cu Kα (λ = 1.5418 Å).
Lines closer than 0.1° are merged.

Largest 10 diffraction maxima, in order of rising 2θ, 2θ from 5° to 70°:
| Position (°2θ) | I/Imax | (hkl) |
| --- | --- | --- |
| 17.5 | 47 | 0 0 1 |
| 24.9 | 88 | 1 0 1 |
| 30.6 | 55 | 1 1 1 |
| 35.4 | 100 | 2 0 0 |
| 35.6 | 49 | 0 0 2 |
| 39.8 | 17 | 2 0 1 |
| 43.8 | 38 | 2 1 1 |
| 51.0 | 34 | 2 2 0 |
| 51.1 | 67 | 2 0 2 |
| 63.7 | 33 | 2 2 2 |

```
data_RbMnCu2Ag
_cell_length_a 5.0675
_cell_length_b 5.0675
_cell_length_c 5.0470
_cell_angle_alpha 90.00
_cell_angle_beta 90.00
_cell_angle_gamma 90.00
_symmetry_space_group_name_H-M 'P 4/m m m'
_symmetry_Int_Tables_number 123
_symmetry_space_group_name_Hall '-P 4 2'
loop_
_atom_site_label
_atom_site_type_symbol
_atom_site_fract_x
_atom_site_fract_y
_atom_site_fract_z
Rb1 Rb 0.0000 0.0000 0.0000
Mn1 Mn 0.5000 0.5000 0.0000
Cu1 Cu 0.0000 0.5000 0.5000
Ag1 Ag 0.5000 0.5000 0.5000
```

***

Starting from a structure optimized by DFT (PBE), the powder diffractogram of PrMg4Hg8 was calculated for Cu Kα (λ = 1.5418 Å).
Lines closer than 0.1° are merged.

Largest 10 diffraction maxima, in order of rising 2θ, 2θ from 5° to 70°:
| Position (°2θ) | I/Imax | (hkl) |
| --- | --- | --- |
| 25.7 | 46 | 2 2 0 |
| 28.7 | 69 | 0 0 2 |
| 30.9 | 49 | 3 0 1 |
| 36.0 | 100 | 3 2 1 |
| 36.6 | 30 | 4 0 0 |
| 38.9 | 54 | 2 2 2 |
| 40.6 | 34 | 4 1 1 |
| 47.2 | 21 | 4 0 2 |
| 55.8 | 29 | 3 2 3 |
| 65.5 | 36 | 6 3 1 |

```
data_PrMg4Hg8
_cell_length_a 9.8207
_cell_length_b 9.8207
_cell_length_c 6.2116
_cell_angle_alpha 90.00
_cell_angle_beta 90.00
_cell_angle_gamma 90.00
_symmetry_space_group_name_H-M 'I 4/m m m'
_symmetry_Int_Tables_number 139
_symmetry_space_group_name_Hall '-I 4 2'
loop_
_atom_site_label
_atom_site_type_symbol
_atom_site_fract_x
_atom_site_fract_y
_atom_site_fract_z
Pr1 Pr 0.0000 0.0000 0.0000
Mg1 Mg 0.2500 0.2500 0.2500
Hg1 Hg 0.0000 0.2172 0.5000
Hg2 Hg 0.0000 0.3376 0.0000
```

***

Starting from a structure optimized by DFT (PBE), the powder diffractogram of Rb2NpS5 was calculated for Cu Kα (λ = 1.5418 Å).
Lines closer than 0.1° are merged.

Largest 10 diffraction maxima, in order of rising 2θ, 2θ from 5° to 70°:
| Position (°2θ) | I/Imax | (hkl) |
| --- | --- | --- |
| 14.4 | 75 | 0 1 1 |
| 15.8 | 69 | 1 0 1 |
| 24.7 | 100 | 1 1 2 |
| 28.1 | 37 | 1 2 1 |
| 28.5 | 25 | 0 1 3 |
| 34.9 | 23 | 0 0 4 |
| 35.5 | 47 | 2 2 0 |
| 41.5 | 33 | 1 3 2 |
| 50.6 | 31 | 2 2 4 |
| 52.2 | 25 | 2 3 3 |

```
data_Rb2NpS5
_cell_length_a 6.6903
_cell_length_b 7.7125
_cell_length_c 10.2926
_cell_angle_alpha 90.00
_cell_angle_beta 90.00
_cell_angle_gamma 90.00
_symmetry_space_group_name_H-M 'I m m 2'
_symmetry_Int_Tables_number 44
loop_
_symmetry_equiv_pos_as_xyz
'x,y,z'
'-x,-y,z'
'-x,y,z'
'x,-y,z'
'x+1/2,y+1/2,z+1/2'
'-x+1/2,-y+1/2,z+1/2'
'-x+1/2,y+1/2,z+1/2'
'x+1/2,-y+1/2,z+1/2'
loop_
_atom_site_label
_atom_site_type_symbol
_atom_site_fract_x
_atom_site_fract_y
_atom_site_fract_z
Rb1 Rb 0.0000 0.0000 0.0000
Rb2 Rb 0.0000 0.0000 0.4614
Np1 Np 0.0000 0.5000 0.2455
S1 S 0.0000 0.5000 0.4790
S2 S 0.2467 0.2244 0.7277
```

***

Starting from a structure optimized by DFT (PBE), the powder diffractogram of Tb3YPd was calculated for Cu Kα (λ = 1.5418 Å).
Lines closer than 0.1° are merged.

Largest 10 diffraction maxima, in order of rising 2θ, 2θ from 5° to 70°:
| Position (°2θ) | I/Imax | (hkl) |
| --- | --- | --- |
| 17.8 | 17 | 1 1 0 |
| 28.0 | 37 | 3 1 1 |
| 29.1 | 18 | 2 0 -2 |
| 32.8 | 100 | 5 1 -1 |
| 33.2 | 19 | 1 1 -2 |
| 34.3 | 59 | 1 1 2 |
| 34.4 | 54 | 0 2 0 |
| 35.6 | 32 | 6 0 1 |
| 50.4 | 24 | 6 2 1 |
| 60.7 | 17 | 5 3 -1 |

```
data_Tb3YPd
_cell_length_a 17.5087
_cell_length_b 5.2104
_cell_length_c 6.3107
_cell_angle_alpha 90.00
_cell_angle_beta 96.64
_cell_angle_gamma 90.00
_symmetry_space_group_name_H-M 'C 1 2/m 1'
_symmetry_Int_Tables_number 12
loop_
_symmetry_equiv_pos_as_xyz
'x,y,z'
'-x,-y,-z'
'-x,y,-z'
'x,-y,z'
'x+1/2,y+1/2,z'
'-x+1/2,-y+1/2,-z'
'-x+1/2,y+1/2,-z'
'x+1/2,-y+1/2,z'
loop_
_atom_site_label
_atom_site_type_symbol
_atom_site_fract_x
_atom_site_fract_y
_atom_site_fract_z
Tb1 Tb 0.0388 0.0000 0.2722
Tb2 Tb 0.1817 0.5000 0.3980
Tb3 Tb 0.2055 0.0000 0.0650
Y1 Y 0.0901 0.5000 0.8577
Pd1 Pd 0.1483 0.0000 0.6304
```

***

Starting from a structure optimized by DFT (PBE), the powder diffractogram of Pa2Mn12Ge7 was calculated for Cu Kα (λ = 1.5418 Å).
Lines closer than 0.1° are merged.

Largest 10 diffraction maxima, in order of rising 2θ, 2θ from 5° to 70°:
| Position (°2θ) | I/Imax | (hkl) |
| --- | --- | --- |
| 10.2 | 14 | 1 0 0 |
| 17.7 | 16 | 1 1 0 |
| 30.9 | 17 | 3 0 0 |
| 32.4 | 25 | 2 0 1 |
| 35.9 | 16 | 2 2 0 |
| 37.2 | 100 | 2 1 1 |
| 45.4 | 16 | 3 1 1 |
| 48.1 | 34 | 1 4 0 |
| 51.0 | 16 | 0 0 2 |
| 52.6 | 18 | 3 2 1 |

```
data_Pa2Mn12Ge7
_cell_length_a 10.0122
_cell_length_b 10.0122
_cell_length_c 3.5805
_cell_angle_alpha 90.00
_cell_angle_beta 90.00
_cell_angle_gamma 120.00
_symmetry_space_group_name_H-M 'P -6'
_symmetry_Int_Tables_number 174
loop_
_symmetry_equiv_pos_as_xyz
'x,y,z'
'-x+y,-x,-z'
'-y,x-y,z'
'x,y,-z'
'-x+y,-x,z'
'-y,x-y,-z'
loop_
_atom_site_label
_atom_site_type_symbol
_atom_site_fract_x
_atom_site_fract_y
_atom_site_fract_z
Pa1 Pa 0.0000 0.0000 0.0000
Pa2 Pa 0.3333 0.6667 0.5000
Mn1 Mn 0.0447 0.2778 0.5000
Mn2 Mn 0.1095 0.7216 0.0000
Mn3 Mn 0.3885 0.1729 0.0000
Mn4 Mn 0.5378 0.4262 0.5000
Ge1 Ge 0.0717 0.4592 0.0000
Ge2 Ge 0.2529 0.2136 0.5000
Ge3 Ge 0.6667 0.3333 0.0000
```

***

Starting from a structure optimized by DFT (PBE), the powder diffractogram of Li5PmPb6 was calculated for Cu Kα (λ = 1.5418 Å).
Lines closer than 0.1° are merged.

Largest 10 diffraction maxima, in order of rising 2θ, 2θ from 5° to 70°:
| Position (°2θ) | I/Imax | (hkl) |
| --- | --- | --- |
| 23.7 | 49 | 1 0 1 |
| 24.8 | 94 | 1 0 -2 |
| 34.4 | 35 | 0 0 3 |
| 34.6 | 100 | 2 0 -1 |
| 35.4 | 67 | 1 2 -2 |
| 42.9 | 21 | 0 2 3 |
| 43.1 | 20 | 2 2 -1 |
| 57.4 | 18 | 2 2 -4 |
| 62.8 | 13 | 1 2 -5 |
| 63.1 | 22 | 3 2 -3 |

```
data_Li5PmPb6
_cell_length_a 5.1816
_cell_length_b 7.1723
_cell_length_c 8.1334
_cell_angle_alpha 90.00
_cell_angle_beta 105.99
_cell_angle_gamma 90.00
_symmetry_space_group_name_H-M 'P 1 2/m 1'
_symmetry_Int_Tables_number 10
loop_
_symmetry_equiv_pos_as_xyz
'x,y,z'
'-x,-y,-z'
'-x,y,-z'
'x,-y,z'
loop_
_atom_site_label
_atom_site_type_symbol
_atom_site_fract_x
_atom_site_fract_y
_atom_site_fract_z
Li1 Li 0.0000 0.0000 0.0000
Li2 Li 0.2847 0.0000 0.6625
Li3 Li 0.3195 0.5000 0.6757
Pm1 Pm 0.0000 0.5000 0.0000
Pb1 Pb 0.2048 0.2422 0.3496
Pb2 Pb 0.5000 0.2235 0.0000
```